Starting from a PBE-relaxed structure, the powder diffractogram of Nd2Y3Si2 was simulated for CuKα.
Peak positions follow from Bragg's law for the DFT cell and can differ from measured ones.

```
data_Nd2Y3Si2
_chemical_formula_sum 'Nd4 Y6 Si4'
_symmetry_space_group_name_H-M 'P 1'
_symmetry_Int_Tables_number 1
_cell_length_a 11.9805
_cell_length_b 4.2001
_cell_length_c 8.4229
_cell_angle_alpha 90.00
_cell_angle_beta 112.24
_cell_angle_gamma 90.00
loop_
_symmetry_equiv_pos_as_xyz
'x,y,z'
loop_
_atom_site_label
_atom_site_fract_x
_atom_site_fract_y
_atom_site_fract_z
Nd1 0.1539 0.0000 0.3108
Nd2 0.3461 0.5000 0.6892
Nd3 0.6539 0.5000 0.3108
Nd4 0.8461 0.0000 0.6892
Y1 0.0000 0.5000 0.5000
Y2 0.1271 0.5000 0.9420
Y3 0.3729 0.0000 0.0580
Y4 0.5000 0.0000 0.5000
Y5 0.6271 0.0000 0.9420
Y6 0.8729 0.5000 0.0580
Si1 0.1653 0.0000 0.7128
Si2 0.3347 0.5000 0.2872
Si3 0.6653 0.5000 0.7128
Si4 0.8347 0.0000 0.2872
```

Largest 10 diffraction maxima, by angle, 2θ from 10° to 80°:
2theta, I_rel
26.75, 74
30.06, 83
30.99, 100
32.03, 45
32.27, 67
32.70, 50
33.92, 36
34.52, 46
37.39, 34
43.07, 39

---

Starting from a PBE-relaxed structure, the powder diffractogram of MnHgIr4 was simulated for CuKα.
Peak positions follow from Bragg's law for the DFT cell and can differ from measured ones.

```
data_MnHgIr4
_chemical_formula_sum 'Mn1 Hg1 Ir4'
_symmetry_space_group_name_H-M 'P 1'
_symmetry_Int_Tables_number 1
_cell_length_a 5.2317
_cell_length_b 5.2317
_cell_length_c 5.2317
_cell_angle_alpha 60.00
_cell_angle_beta 60.00
_cell_angle_gamma 60.00
loop_
_symmetry_equiv_pos_as_xyz
'x,y,z'
loop_
_atom_site_label
_atom_site_fract_x
_atom_site_fract_y
_atom_site_fract_z
Mn1 0.0000 0.0000 0.0000
Hg1 0.7500 0.7500 0.7500
Ir1 0.3748 0.3748 0.3748
Ir2 0.3748 0.3748 0.8756
Ir3 0.3748 0.8756 0.3748
Ir4 0.8756 0.3748 0.3748
```

Largest 10 diffraction maxima, by angle, 2θ from 10° to 80°:
2theta, I_rel
20.79, 27
24.06, 6
34.28, 16
40.43, 100
42.32, 54
49.26, 11
54.02, 7
61.39, 6
65.56, 32
72.23, 29

---

Starting from a PBE-relaxed structure, the powder diffractogram of Pm3MgGe6 was simulated for CuKα.
Peak positions follow from Bragg's law for the DFT cell and can differ from measured ones.

```
data_Pm3MgGe6
_chemical_formula_sum 'Pm6 Mg2 Ge12'
_symmetry_space_group_name_H-M 'P 1'
_symmetry_Int_Tables_number 1
_cell_length_a 7.7364
_cell_length_b 7.7364
_cell_length_c 7.7364
_cell_angle_alpha 98.36
_cell_angle_beta 98.36
_cell_angle_gamma 98.36
loop_
_symmetry_equiv_pos_as_xyz
'x,y,z'
loop_
_atom_site_label
_atom_site_fract_x
_atom_site_fract_y
_atom_site_fract_z
Pm1 0.1856 0.7500 0.3144
Pm2 0.2500 0.6856 0.8144
Pm3 0.3144 0.1856 0.7500
Pm4 0.6856 0.8144 0.2500
Pm5 0.7500 0.3144 0.1856
Pm6 0.8144 0.2500 0.6856
Mg1 0.0000 0.0000 0.0000
Mg2 0.5000 0.5000 0.5000
Ge1 0.0154 0.0891 0.3728
Ge2 0.0891 0.3728 0.0154
Ge3 0.1272 0.4109 0.4846
Ge4 0.3728 0.0154 0.0891
Ge5 0.4109 0.4846 0.1272
Ge6 0.4846 0.1272 0.4109
Ge7 0.5154 0.8728 0.5891
Ge8 0.5891 0.5154 0.8728
Ge9 0.6272 0.9846 0.9109
Ge10 0.8728 0.5891 0.5154
Ge11 0.9109 0.6272 0.9846
Ge12 0.9846 0.9109 0.6272
```

Largest 10 diffraction maxima, by angle, 2θ from 10° to 80°:
2theta, I_rel
15.13, 23
28.20, 26
32.82, 100
32.95, 17
35.67, 64
36.44, 49
46.70, 17
47.67, 33
52.84, 28
65.90, 13

---

Starting from a PBE-relaxed structure, the powder diffractogram of Rb3IrCl8 was simulated for CuKα.
Peak positions follow from Bragg's law for the DFT cell and can differ from measured ones.

```
data_Rb3IrCl8
_chemical_formula_sum 'Rb6 Ir2 Cl16'
_symmetry_space_group_name_H-M 'P 1'
_symmetry_Int_Tables_number 1
_cell_length_a 9.9102
_cell_length_b 9.9102
_cell_length_c 8.9315
_cell_angle_alpha 90.00
_cell_angle_beta 90.00
_cell_angle_gamma 120.00
loop_
_symmetry_equiv_pos_as_xyz
'x,y,z'
loop_
_atom_site_label
_atom_site_fract_x
_atom_site_fract_y
_atom_site_fract_z
Rb1 0.1516 0.3033 0.0000
Rb2 0.1516 0.8484 0.0000
Rb3 0.3033 0.1516 0.5000
Rb4 0.6967 0.8484 0.0000
Rb5 0.8484 0.1516 0.5000
Rb6 0.8484 0.6967 0.5000
Ir1 0.3333 0.6667 0.4440
Ir2 0.6667 0.3333 0.9440
Cl1 0.0000 0.0000 0.2542
Cl2 0.0000 0.0000 0.7542
Cl3 0.1122 0.5561 0.2952
Cl4 0.2219 0.4438 0.5954
Cl5 0.2219 0.7781 0.5954
Cl6 0.3333 0.6667 0.9518
Cl7 0.4438 0.2219 0.0954
Cl8 0.4439 0.5561 0.2952
Cl9 0.4439 0.8878 0.2952
Cl10 0.5561 0.1122 0.7952
Cl11 0.5561 0.4439 0.7952
Cl12 0.5562 0.7781 0.5954
Cl13 0.6667 0.3333 0.4518
Cl14 0.7781 0.2219 0.0954
Cl15 0.7781 0.5562 0.0954
Cl16 0.8878 0.4439 0.7952
```

Largest 10 diffraction maxima, by angle, 2θ from 10° to 80°:
2theta, I_rel
14.31, 60
17.90, 32
19.88, 31
20.70, 21
22.99, 100
28.85, 58
36.26, 38
36.74, 32
41.69, 34
57.77, 21

---

Starting from a PBE-relaxed structure, the powder diffractogram of VOs3Ru3 was simulated for CuKα.
Peak positions follow from Bragg's law for the DFT cell and can differ from measured ones.

```
data_VOs3Ru3
_chemical_formula_sum 'V2 Os6 Ru6'
_symmetry_space_group_name_H-M 'P 1'
_symmetry_Int_Tables_number 1
_cell_length_a 7.2228
_cell_length_b 7.2228
_cell_length_c 4.3381
_cell_angle_alpha 90.00
_cell_angle_beta 90.00
_cell_angle_gamma 120.00
loop_
_symmetry_equiv_pos_as_xyz
'x,y,z'
loop_
_atom_site_label
_atom_site_fract_x
_atom_site_fract_y
_atom_site_fract_z
V1 0.3333 0.6667 0.2500
V2 0.6667 0.3333 0.7500
Os1 0.0961 0.4775 0.7500
Os2 0.3814 0.9039 0.7500
Os3 0.4775 0.3814 0.2500
Os4 0.5225 0.6186 0.7500
Os5 0.6186 0.0961 0.2500
Os6 0.9039 0.5225 0.2500
Ru1 0.0488 0.2397 0.2500
Ru2 0.1910 0.9512 0.2500
Ru3 0.2397 0.1910 0.7500
Ru4 0.7603 0.8090 0.2500
Ru5 0.8090 0.0488 0.7500
Ru6 0.9512 0.7603 0.7500
```

Largest 10 diffraction maxima, by angle, 2θ from 10° to 80°:
2theta, I_rel
24.65, 3
24.98, 13
28.54, 5
32.25, 4
38.06, 27
41.64, 25
43.60, 100
57.68, 16
68.77, 17
77.36, 18

---

Starting from a PBE-relaxed structure, the powder diffractogram of SmEr3Al2 was simulated for CuKα.
Peak positions follow from Bragg's law for the DFT cell and can differ from measured ones.

```
data_SmEr3Al2
_chemical_formula_sum 'Sm2 Er6 Al4'
_symmetry_space_group_name_H-M 'P 1'
_symmetry_Int_Tables_number 1
_cell_length_a 8.3009
_cell_length_b 8.3009
_cell_length_c 8.9347
_cell_angle_alpha 117.71
_cell_angle_beta 117.71
_cell_angle_gamma 36.41
loop_
_symmetry_equiv_pos_as_xyz
'x,y,z'
loop_
_atom_site_label
_atom_site_fract_x
_atom_site_fract_y
_atom_site_fract_z
Sm1 0.1314 0.1314 0.1804
Sm2 0.8686 0.8686 0.8196
Er1 0.0612 0.0612 0.7158
Er2 0.3127 0.3127 0.0091
Er3 0.3829 0.3829 0.4674
Er4 0.6171 0.6171 0.5326
Er5 0.6873 0.6873 0.9909
Er6 0.9388 0.9388 0.2842
Al1 0.2319 0.2319 0.6006
Al2 0.4775 0.4775 0.8412
Al3 0.5225 0.5225 0.1588
Al4 0.7681 0.7681 0.3994
```

Largest 10 diffraction maxima, by angle, 2θ from 10° to 80°:
2theta, I_rel
12.31, 24
25.93, 28
26.76, 29
27.61, 36
31.43, 53
31.84, 61
33.55, 100
34.59, 53
34.84, 40
47.42, 34

---

Starting from a PBE-relaxed structure, the powder diffractogram of Cs2RbPa2Se7 was simulated for CuKα.
Peak positions follow from Bragg's law for the DFT cell and can differ from measured ones.

```
data_Cs2RbPa2Se7
_chemical_formula_sum 'Cs2 Rb1 Pa2 Se7'
_symmetry_space_group_name_H-M 'P 1'
_symmetry_Int_Tables_number 1
_cell_length_a 15.1398
_cell_length_b 15.1398
_cell_length_c 15.1398
_cell_angle_alpha 158.84
_cell_angle_beta 158.84
_cell_angle_gamma 30.10
loop_
_symmetry_equiv_pos_as_xyz
'x,y,z'
loop_
_atom_site_label
_atom_site_fract_x
_atom_site_fract_y
_atom_site_fract_z
Cs1 0.1854 0.1854 0.0000
Cs2 0.8146 0.8146 0.0000
Rb1 0.0000 0.0000 0.0000
Pa1 0.4044 0.4044 0.0000
Pa2 0.5956 0.5956 0.0000
Se1 0.0910 0.5910 0.5000
Se2 0.3138 0.3138 0.0000
Se3 0.4090 0.9090 0.5000
Se4 0.5000 0.5000 0.0000
Se5 0.5910 0.0910 0.5000
Se6 0.6862 0.6862 0.0000
Se7 0.9090 0.4090 0.5000
```

Largest 10 diffraction maxima, by angle, 2θ from 10° to 80°:
2theta, I_rel
12.11, 42
16.23, 59
22.06, 81
22.62, 68
30.57, 40
32.21, 100
39.38, 37
45.00, 55
46.19, 36
56.41, 28

---

What is the formula in the fourth record?
Rb3IrCl8

---

Number 2 is which compound?
MnHgIr4